For TaV2BiO8, a crystal structure in Alexandria, relaxed with GGA+U gives the theoretical powder X-ray diffraction pattern in this record (λ = 1.5418 Å (Cu Kα)).
Peak positions follow from Bragg's law for the DFT cell and can differ from measured ones.

Principal peaks in the range 2θ = 15–90°, in order of rising 2θ:
18.7 deg, I 74
26.1 deg, I 62
26.9 deg, I 54
33.4 deg, I 100
37.8 deg, I 27
38.8 deg, I 27
50.9 deg, I 42
51.8 deg, I 36

Structural model:
Lattice parameters (Å, degrees): 4.759 4.759 6.487 90.00 90.00 91.69
Fractional coordinates of all 12 atoms:
Ta 0.000 0.000 0.000
V 0.500 0.500 0.250
V 0.500 0.500 0.750
Bi 0.000 0.000 0.500
O 0.214 0.214 0.217
O 0.214 0.214 0.783
O 0.298 0.702 0.000
O 0.331 0.669 0.500
O 0.669 0.331 0.500
O 0.702 0.298 0.000
O 0.786 0.786 0.217
O 0.786 0.786 0.783


For TaBiW2O10, a crystal structure in Alexandria, relaxed with GGA+U gives the theoretical powder X-ray diffraction pattern in this record (λ = 1.5418 Å (Cu Kα)).
Peak positions follow from Bragg's law for the DFT cell and can differ from measured ones.

Principal peaks in the range 2θ = 15–90°, in order of rising 2θ:
23.0 deg, I 78
26.9 deg, I 100
27.1 deg, I 51
35.7 deg, I 72
35.8 deg, I 33
47.7 deg, I 24
53.6 deg, I 28
55.1 deg, I 42

Structural model:
Lattice parameters (Å, degrees): 3.861 7.624 7.624 119.63 90.00 90.00
Fractional coordinates of all 14 atoms:
Ta 0.000 0.000 0.000
Bi 0.000 0.477 0.477
W 0.000 0.500 0.997
W 0.000 0.997 0.500
O 0.000 0.092 0.310
O 0.000 0.304 0.719
O 0.000 0.310 0.092
O 0.000 0.719 0.304
O 0.000 0.723 0.947
O 0.000 0.947 0.723
O 0.500 0.012 0.511
O 0.500 0.029 0.029
O 0.500 0.511 0.012
O 0.500 0.597 0.597